No. 1
# Rb2TlF5
Simulated XRD peak list, Cu Kα (weighted mean of Kα1 and Kα2). Input: a cell relaxed with GGA-PBE.
Lines closer than 0.1° are merged.

Cell: 11.342 7.603 6.909 Å, 90.00 90.00 90.00°
Space group Pnma (No. 62)
Unique sites:
Rb  0.169  0.004  0.052 x8
Tl  0.001  0.250  0.555 x4
F  0.017  0.250  0.876 x4
F  0.064  0.541  0.659 x8
F  0.167  0.250  0.396 x4
F  0.185  0.750  0.359 x4

The 10 most intense peaks (15 to 90 degrees two-theta), low angle first:
h k l, 2theta, intensity
1 0 1, 15.01, 54
2 0 0, 15.63, 27
0 0 2, 25.79, 38
3 0 1, 26.89, 94
1 2 1, 27.92, 100
2 2 0, 28.26, 53
2 2 2, 38.63, 38
4 2 0, 39.65, 26
5 2 1, 48.56, 30
3 4 1, 55.74, 25

No. 2
# Pm12Fe5C15
Simulated XRD peak list, Cu Kα (weighted mean of Kα1 and Kα2). Input: a cell relaxed with GGA-PBE.
Lines closer than 0.1° are merged.

Cell: 10.6551 10.6551 5.2633 Å, 90.00 90.00 120.00°
Space group P-62m (No. 189)
Unique sites:
Pm  0.0000  0.2088  0.0000 x3
Pm  0.0000  0.5708  0.0000 x3
Pm  0.1849  0.4562  0.5000 x6
Fe  0.0000  0.8451  0.5000 x3
Fe  0.3333  0.6667  0.0000 x2
C  0.0000  0.1918  0.5000 x3
C  0.0000  0.5532  0.5000 x3
C  0.0000  0.6790  0.5000 x3
C  0.1923  0.4801  0.0000 x6

The 10 most intense peaks (15 to 90 degrees two-theta), low angle first:
h k l, 2theta, intensity
2 0 1, 25.68, 10
2 1 1, 30.75, 100
2 2 0, 33.65, 14
3 0 1, 33.75, 11
0 0 2, 34.07, 34
3 1 0, 35.06, 28
4 0 0, 39.07, 10
2 2 2, 48.64, 9
3 1 2, 49.69, 20
2 1 3, 58.93, 16

No. 3
# CdHg3
Simulated XRD peak list, Cu Kα (weighted mean of Kα1 and Kα2). Input: a cell relaxed with GGA-PBE.
Lines closer than 0.1° are merged.

Cell: 4.464 4.464 10.348 Å, 90.00 90.00 90.00°
Space group I4/mmm (No. 139)
Unique sites:
Cd  0.000  0.000  0.000 x2
Hg  0.000  0.000  0.500 x2
Hg  0.000  0.500  0.250 x4

The 10 most intense peaks (15 to 90 degrees two-theta), low angle first:
h k l, 2theta, intensity
1 1 2, 33.25, 100
0 0 4, 34.68, 22
2 0 0, 40.41, 30
2 0 4, 54.28, 25
2 2 0, 58.48, 10
1 1 6, 61.25, 17
3 1 2, 68.95, 25
2 2 4, 69.81, 12
2 0 8, 87.08, 7
3 1 6, 89.78, 13

No. 4
# CeHoPO2
Simulated XRD peak list, Cu Kα (weighted mean of Kα1 and Kα2). Input: a cell relaxed with GGA-PBE.
Lines closer than 0.1° are merged.

Cell: 3.731 12.060 7.505 Å, 90.00 90.00 90.00°
Space group Cmcm (No. 63)
Unique sites:
Ce  0.000  0.230  0.250 x4
Ho  0.000  0.500  0.000 x4
P  0.000  0.055  0.750 x4
O  0.000  0.322  0.575 x8

The 10 most intense peaks (15 to 90 degrees two-theta), low angle first:
h k l, 2theta, intensity
1 1 0, 24.98, 33
1 1 1, 27.71, 39
0 2 2, 28.01, 100
0 4 0, 29.63, 51
1 3 0, 32.75, 27
1 1 2, 34.71, 80
1 3 1, 34.92, 38
1 5 2, 51.25, 36
0 6 2, 51.58, 23
2 2 2, 57.23, 28